The following is a simulated PXRD pattern of NaCd4As3. It was derived from a structure optimized by DFT (GGA-PBE), using CuKα.
Lines closer than 0.1° are merged.

Top 6 peaks for 2θ = 10–90°, most intense first:
39.7 deg, intensity 100; 34.8 deg, intensity 91; 26.1 deg, intensity 41; 22.7 deg, intensity 31; 53.8 deg, intensity 25; 68.8 deg, intensity 23

Structure:
Unit cell a=11.682 b=11.682 c=11.682 alpha=22.43 beta=22.43 gamma=22.43
Sites, in units of the cell vectors:
Na  0.000  0.000  0.000
Cd  0.201  0.201  0.201
Cd  0.405  0.405  0.405
Cd  0.595  0.595  0.595
Cd  0.799  0.799  0.799
As  0.280  0.280  0.280
As  0.500  0.500  0.500
As  0.720  0.720  0.720

***

The following is a simulated PXRD pattern of Ho2Si3Pt3. It was derived from a structure optimized by DFT (GGA-PBE), using CuKα.
Lines closer than 0.1° are merged.

Top 6 peaks for 2θ = 10–90°, most intense first:
32.1 deg, intensity 100; 48.0 deg, intensity 68; 34.7 deg, intensity 59; 12.8 deg, intensity 57; 46.0 deg, intensity 37; 58.9 deg, intensity 32

Structure:
Unit cell a=2.791 b=2.791 c=20.679 alpha=90.00 beta=90.00 gamma=90.00
Sites, in units of the cell vectors:
Ho  0.000  0.000  0.247
Ho  0.000  0.000  0.753
Si  0.000  0.000  0.000
Si  0.000  0.000  0.387
Si  0.000  0.000  0.613
Pt  0.000  0.000  0.116
Pt  0.000  0.000  0.500
Pt  0.000  0.000  0.884

***

The following is a simulated PXRD pattern of TbZn3P3. It was derived from a structure optimized by DFT (GGA-PBE), using CuKα.
Lines closer than 0.1° are merged.

Top 6 peaks for 2θ = 10–90°, most intense first:
27.2 deg, intensity 100; 45.3 deg, intensity 69; 31.4 deg, intensity 67; 37.5 deg, intensity 58; 59.2 deg, intensity 39; 34.3 deg, intensity 35

Structure:
Unit cell a=4.007 b=4.007 c=19.893 alpha=90.00 beta=90.00 gamma=120.00
Sites, in units of the cell vectors:
Tb  0.000  0.000  0.000
Tb  0.000  0.000  0.500
Zn  0.333  0.667  0.129
Zn  0.333  0.667  0.371
Zn  0.333  0.667  0.750
Zn  0.667  0.333  0.250
Zn  0.667  0.333  0.629
Zn  0.667  0.333  0.871
P  0.333  0.667  0.250
P  0.333  0.667  0.584
P  0.333  0.667  0.916
P  0.667  0.333  0.084
P  0.667  0.333  0.416
P  0.667  0.333  0.750

***

The following is a simulated PXRD pattern of ZrZnO3. It was derived from a structure optimized by DFT (GGA-PBE), using CuKα.
Lines closer than 0.1° are merged.

Top 6 peaks for 2θ = 10–90°, most intense first:
30.5 deg, intensity 100; 54.2 deg, intensity 39; 43.7 deg, intensity 37; 63.5 deg, intensity 22; 88.3 deg, intensity 20; 72.1 deg, intensity 16

Structure:
Unit cell a=4.143 b=4.143 c=4.143 alpha=90.00 beta=90.00 gamma=90.00
Sites, in units of the cell vectors:
Zr  0.000  0.000  0.000
Zn  0.500  0.500  0.500
O  0.000  0.000  0.500
O  0.000  0.500  0.000
O  0.500  0.000  0.000

***

Please write out number 3 again, unchanged.
The following is a simulated PXRD pattern of TbZn3P3. It was derived from a structure optimized by DFT (GGA-PBE), using CuKα.
Lines closer than 0.1° are merged.

Top 6 peaks for 2θ = 10–90°, most intense first:
27.2 deg, intensity 100; 45.3 deg, intensity 69; 31.4 deg, intensity 67; 37.5 deg, intensity 58; 59.2 deg, intensity 39; 34.3 deg, intensity 35

Structure:
Unit cell a=4.007 b=4.007 c=19.893 alpha=90.00 beta=90.00 gamma=120.00
Sites, in units of the cell vectors:
Tb  0.000  0.000  0.000
Tb  0.000  0.000  0.500
Zn  0.333  0.667  0.129
Zn  0.333  0.667  0.371
Zn  0.333  0.667  0.750
Zn  0.667  0.333  0.250
Zn  0.667  0.333  0.629
Zn  0.667  0.333  0.871
P  0.333  0.667  0.250
P  0.333  0.667  0.584
P  0.333  0.667  0.916
P  0.667  0.333  0.084
P  0.667  0.333  0.416
P  0.667  0.333  0.750